1.
The following is a simulated XRD peak list of RbCd2GaO4. It was derived from a crystal structure in Alexandria, relaxed with GGA-PBE, using Cu Ka.
Neutral-atom scattering factors, no anomalous dispersion.

Cell and atoms:
Cell lengths 5.704, 5.704, 8.017 Å; angles 90.00, 90.00, 90.00 degrees
Space group I-42m (No. 121)
Inequivalent atoms, fractional coordinates:
Rb (0.000, 0.000, 0.000) (multiplicity 2)
Cd (0.000, 0.500, 0.250) (multiplicity 4)
Ga (0.000, 0.000, 0.500) (multiplicity 2)
O (0.189, 0.189, 0.638) (multiplicity 8)

The 12 most intense peaks (10° ≤ 2θ ≤ 90°), in order of rising 2θ:
2θ/deg  d/Å  I (rel.)  index
22.04  4.033  2  1 1 0
22.18  4.009  2  0 0 2
31.44  2.846  100  1 1 2
44.95  2.017  15  2 2 0
45.24  2.004  5  0 0 4
55.90  1.645  27  3 1 2
56.08  1.640  16  2 0 4
65.45  1.426  4  4 0 0
65.68  1.422  7  2 2 4
74.40  1.275  11  4 2 0
74.86  1.268  6  1 1 6
83.13  1.162  4  4 0 4


2.
The following is a simulated XRD peak list of SmMgHg4. It was derived from a crystal structure in Alexandria, relaxed with GGA-PBE, using Cu Ka.
Neutral-atom scattering factors, no anomalous dispersion.

Cell and atoms:
Cell lengths 4.273, 4.910, 7.278 Å; angles 89.93, 73.00, 89.99 degrees
Space group P1 (No. 1)
Inequivalent atoms, fractional coordinates:
Sm (0.000, 0.000, 0.000) (multiplicity 1)
Mg (0.815, 0.499, 0.371) (multiplicity 1)
Hg (0.154, 0.500, 0.693) (multiplicity 1)
Hg (0.327, 0.999, 0.346) (multiplicity 1)
Hg (0.473, 0.500, 0.054) (multiplicity 1)
Hg (0.670, 0.000, 0.661) (multiplicity 1)

The 12 most intense peaks (10° ≤ 2θ ≤ 90°), in order of rising 2θ:
2θ/deg  d/Å  I (rel.)  index
21.76  4.085  7  1 0 0
28.41  3.142  9  1 0 -1
33.86  2.647  100  1 1 2
36.60  2.455  21  0 2 0
38.82  2.320  16  0 0 3
42.30  2.137  14  2 0 1
57.15  1.612  12  2 2 1
58.75  1.572  9  2 0 4
64.15  1.452  17  1 3 2
67.11  1.395  8  1 1 5
71.22  1.324  8  2 2 4
71.96  1.312  12  3 1 3


3.
The following is a simulated XRD peak list of Ba8CdAg2. It was derived from a crystal structure in Alexandria, relaxed with GGA-PBE, using Cu Ka.
Neutral-atom scattering factors, no anomalous dispersion.

Cell and atoms:
Cell lengths 10.455, 15.306, 7.123 Å; angles 90.00, 106.13, 90.00 degrees
Space group Cm (No. 8)
Inequivalent atoms, fractional coordinates:
Ba (0.000, 0.000, 0.000) (multiplicity 2)
Ba (0.069, 0.366, 0.797) (multiplicity 4)
Ba (0.165, 0.131, 0.598) (multiplicity 4)
Ba (0.228, 0.500, 0.383) (multiplicity 2)
Ba (0.370, 0.228, 0.198) (multiplicity 4)
Cd (0.360, 0.000, 0.032) (multiplicity 2)
Ag (0.366, 0.314, 0.691) (multiplicity 4)

The 12 most intense peaks (10° ≤ 2θ ≤ 90°), in order of rising 2θ:
2θ/deg  d/Å  I (rel.)  index
22.10  4.022  25  2 2 -1
24.79  3.592  100  2 0 1
25.73  3.462  32  1 1 -2
26.69  3.340  69  0 4 1
26.83  3.322  62  3 1 -1
28.58  3.124  41  0 2 2
29.34  3.044  43  2 4 0
29.60  3.018  31  2 2 -2
31.97  2.799  39  3 3 0
32.28  2.773  54  1 5 -1
45.06  2.012  19  3 3 -3
45.13  2.009  20  4 4 -2


4.
The following is a simulated XRD peak list of FeCu2Pt2. It was derived from a crystal structure in Alexandria, relaxed with GGA-PBE, using Cu Ka.
Neutral-atom scattering factors, no anomalous dispersion.

Cell and atoms:
Cell lengths 8.319, 3.818, 5.844 Å; angles 90.00, 132.57, 90.00 degrees
Space group C2/m (No. 12)
Inequivalent atoms, fractional coordinates:
Fe (0.000, 0.000, 0.000) (multiplicity 2)
Cu (0.196, 0.000, 0.591) (multiplicity 4)
Pt (0.094, 0.500, 0.803) (multiplicity 4)

The 12 most intense peaks (10° ≤ 2θ ≤ 90°), in order of rising 2θ:
2θ/deg  d/Å  I (rel.)  index
21.39  4.155  13  2 0 -1
27.53  3.240  20  1 1 0
41.22  2.190  100  1 1 -2
46.59  1.949  18  2 0 1
47.64  1.909  19  0 2 0
49.63  1.837  14  4 0 -3
68.83  1.364  11  2 2 1
70.43  1.337  10  2 0 -4
82.73  1.167  13  1 1 3
84.26  1.149  12  1 3 -2
87.27  1.117  11  5 1 -5
89.50  1.095  11  2 2 -4


5.
The following is a simulated XRD peak list of InTcClO4. It was derived from a crystal structure in Alexandria, relaxed with GGA-PBE, using Cu Ka.
Neutral-atom scattering factors, no anomalous dispersion.

Cell and atoms:
Cell lengths 9.451, 7.072, 8.166 Å; angles 90.00, 102.96, 90.00 degrees
Space group C2/m (No. 12)
Inequivalent atoms, fractional coordinates:
In (0.204, 0.000, 0.057) (multiplicity 4)
Tc (0.116, 0.500, 0.242) (multiplicity 4)
Cl (0.002, 0.000, 0.219) (multiplicity 4)
O (0.075, 0.500, 0.777) (multiplicity 4)
O (0.180, 0.319, 0.114) (multiplicity 8)
O (0.216, 0.500, 0.442) (multiplicity 4)

The 12 most intense peaks (10° ≤ 2θ ≤ 90°), in order of rising 2θ:
2θ/deg  d/Å  I (rel.)  index
11.12  7.958  100  0 0 1
24.41  3.647  41  2 0 1
25.18  3.536  60  0 2 0
25.62  3.477  33  1 1 -2
31.44  2.845  23  3 1 -1
32.88  2.724  19  2 0 2
35.05  2.561  30  3 1 -2
35.38  2.537  33  2 2 1
44.64  2.030  12  1 3 -2
48.46  1.879  12  3 3 -1
49.97  1.825  15  4 0 2
51.27  1.782  19  5 1 0


6.
The following is a simulated XRD peak list of Zn5NiPd2. It was derived from a crystal structure in Alexandria, relaxed with GGA-PBE, using Cu Ka.
Neutral-atom scattering factors, no anomalous dispersion.

Cell and atoms:
Cell lengths 4.078, 4.078, 13.453 Å; angles 90.00, 90.00, 90.00 degrees
Space group I4/mmm (No. 139)
Inequivalent atoms, fractional coordinates:
Zn (0.000, 0.000, 0.000) (multiplicity 2)
Zn (0.000, 0.500, 0.122) (multiplicity 8)
Ni (0.000, 0.000, 0.500) (multiplicity 2)
Pd (0.000, 0.000, 0.253) (multiplicity 4)

The 12 most intense peaks (10° ≤ 2θ ≤ 90°), in order of rising 2θ:
2θ/deg  d/Å  I (rel.)  index
13.16  6.726  5  0 0 2
26.50  3.363  1  0 0 4
31.01  2.884  1  1 1 0
33.82  2.650  4  1 1 2
41.24  2.189  100  1 1 4
44.43  2.039  40  2 0 0
54.57  1.682  10  0 0 8
61.46  1.509  1  2 0 6
64.64  1.442  12  2 2 0
72.92  1.297  17  2 0 8
79.62  1.204  27  3 1 4
89.55  1.095  10  2 2 8


7.
The following is a simulated XRD peak list of MgTlMoIr2. It was derived from a crystal structure in Alexandria, relaxed with GGA-PBE, using Cu Ka.
Neutral-atom scattering factors, no anomalous dispersion.

Cell and atoms:
Cell lengths 4.998, 4.998, 5.102 Å; angles 90.00, 90.00, 90.00 degrees
Space group P4/mmm (No. 123)
Inequivalent atoms, fractional coordinates:
Mg (0.000, 0.000, 0.000) (multiplicity 1)
Tl (0.500, 0.500, 0.500) (multiplicity 1)
Mo (0.500, 0.500, 0.000) (multiplicity 1)
Ir (0.000, 0.500, 0.500) (multiplicity 2)

The 12 most intense peaks (10° ≤ 2θ ≤ 90°), in order of rising 2θ:
2θ/deg  d/Å  I (rel.)  index
17.38  5.102  100  0 0 1
17.75  4.998  70  1 0 0
30.78  2.905  46  1 1 1
35.18  2.551  43  0 0 2
35.94  2.499  82  2 0 0
39.67  2.272  19  1 0 2
40.18  2.244  51  2 0 1
40.35  2.235  18  2 1 0
51.17  1.785  60  2 0 2
51.74  1.767  29  2 2 0
55.00  1.670  21  2 2 1
64.11  1.453  31  2 2 2


8.
The following is a simulated XRD peak list of Sm6TcTe2. It was derived from a crystal structure in Alexandria, relaxed with GGA-PBE, using Cu Ka.
Neutral-atom scattering factors, no anomalous dispersion.

Cell and atoms:
Cell lengths 8.5338, 8.5338, 4.0835 Å; angles 90.00, 90.00, 120.00 degrees
Space group P-62m (No. 189)
Inequivalent atoms, fractional coordinates:
Sm (0.0000, 0.4015, 0.0000) (multiplicity 3)
Sm (0.0000, 0.7610, 0.5000) (multiplicity 3)
Tc (0.0000, 0.0000, 0.0000) (multiplicity 1)
Te (0.3333, 0.6667, 0.5000) (multiplicity 2)

The 12 most intense peaks (10° ≤ 2θ ≤ 90°), in order of rising 2θ:
2θ/deg  d/Å  I (rel.)  index
30.30  2.950  100  1 1 1
32.04  2.793  68  2 1 0
32.68  2.740  79  2 0 1
36.47  2.463  34  3 0 0
39.07  2.306  37  2 1 1
44.37  2.042  23  0 0 2
49.77  1.832  18  3 1 1
55.77  1.648  28  2 1 2
57.11  1.613  9  4 1 0
58.73  1.572  17  3 0 2
58.99  1.566  32  3 2 1
61.85  1.500  13  4 1 1


9.
The following is a simulated XRD peak list of Ca2Ti2O5. It was derived from a crystal structure in Alexandria, relaxed with GGA-PBE, using Cu Ka.
Neutral-atom scattering factors, no anomalous dispersion.

Cell and atoms:
Cell lengths 7.607, 7.751, 10.855 Å; angles 90.00, 134.39, 90.00 degrees
Space group P2_1/c (No. 14)
Inequivalent atoms, fractional coordinates:
Ca (0.003, 0.241, 0.237) (multiplicity 4)
Ca (0.489, 0.748, 0.262) (multiplicity 4)
Ti (0.000, 0.000, 0.000) (multiplicity 2)
Ti (0.000, 0.000, 0.500) (multiplicity 2)
Ti (0.500, 0.000, 0.000) (multiplicity 2)
Ti (0.500, 0.000, 0.500) (multiplicity 2)
O (0.067, 0.246, 0.543) (multiplicity 4)
O (0.215, 0.539, 0.246) (multiplicity 4)
O (0.216, 0.537, 0.755) (multiplicity 4)
O (0.288, 0.536, 0.538) (multiplicity 4)
O (0.432, 0.245, 0.472) (multiplicity 4)

The 12 most intense peaks (10° ≤ 2θ ≤ 90°), in order of rising 2θ:
2θ/deg  d/Å  I (rel.)  index
23.39  3.803  9  2 0 -2
32.66  2.742  36  0 2 2
32.99  2.715  100  2 0 -4
40.57  2.224  6  2 2 -4
46.87  1.939  38  0 4 0
47.83  1.902  16  4 0 -4
58.50  1.578  40  2 2 2
59.12  1.563  14  4 2 -2
68.44  1.371  9  0 4 4
69.19  1.358  12  4 4 -4
77.92  1.226  6  0 6 2
79.55  1.205  5  6 0 -8


10.
The following is a simulated XRD peak list of NbV3Mo. It was derived from a crystal structure in Alexandria, relaxed with GGA-PBE, using Cu Ka.
Neutral-atom scattering factors, no anomalous dispersion.

Cell and atoms:
Cell lengths 13.069, 4.294, 5.364 Å; angles 90.00, 98.70, 90.00 degrees
Space group C2/m (No. 12)
Inequivalent atoms, fractional coordinates:
Nb (0.199, 0.000, 0.146) (multiplicity 4)
V (0.001, 0.000, 0.751) (multiplicity 4)
V (0.095, 0.500, 0.948) (multiplicity 4)
V (0.196, 0.000, 0.643) (multiplicity 4)
Mo (0.099, 0.500, 0.451) (multiplicity 4)

The 12 most intense peaks (10° ≤ 2θ ≤ 90°), in order of rising 2θ:
2θ/deg  d/Å  I (rel.)  index
26.95  3.308  13  1 1 -1
40.63  2.220  51  4 0 -2
40.76  2.214  100  5 1 0
41.51  2.175  95  1 1 2
42.09  2.147  46  0 2 0
59.24  1.560  15  6 0 2
59.93  1.543  30  4 2 -2
73.50  1.288  16  9 1 -2
75.05  1.266  15  3 1 -4
75.32  1.262  22  2 0 4
76.01  1.252  14  5 3 0
76.53  1.245  14  1 3 2


11.
The following is a simulated XRD peak list of SmPt4Au8. It was derived from a crystal structure in Alexandria, relaxed with GGA-PBE, using Cu Ka.
Neutral-atom scattering factors, no anomalous dispersion.

Cell and atoms:
Cell lengths 9.323, 9.323, 5.663 Å; angles 90.00, 90.00, 90.00 degrees
Space group I4/mmm (No. 139)
Inequivalent atoms, fractional coordinates:
Sm (0.000, 0.000, 0.000) (multiplicity 2)
Pt (0.250, 0.250, 0.250) (multiplicity 8)
Au (0.000, 0.217, 0.500) (multiplicity 8)
Au (0.000, 0.332, 0.000) (multiplicity 8)

The 12 most intense peaks (10° ≤ 2θ ≤ 90°), in order of rising 2θ:
2θ/deg  d/Å  I (rel.)  index
19.04  4.661  18  2 0 0
32.87  2.724  38  3 0 1
37.15  2.420  60  2 0 2
38.26  2.352  74  3 2 1
38.63  2.331  66  4 0 0
42.07  2.148  100  2 2 2
43.08  2.100  21  4 1 1
43.41  2.085  36  4 2 0
60.75  1.525  20  3 2 3
68.93  1.362  30  6 0 2
69.66  1.350  25  6 3 1
79.15  1.210  17  4 0 4


12.
The following is a simulated XRD peak list of K3PuO4. It was derived from a crystal structure in Alexandria, relaxed with GGA-PBE, using Cu Ka.
Neutral-atom scattering factors, no anomalous dispersion.

Cell and atoms:
Cell lengths 6.634, 7.504, 6.216 Å; angles 90.00, 109.46, 90.00 degrees
Space group P2/c (No. 13)
Inequivalent atoms, fractional coordinates:
K (0.000, 0.114, 0.250) (multiplicity 2)
K (0.500, 0.137, 0.750) (multiplicity 2)
K (0.500, 0.379, 0.250) (multiplicity 2)
Pu (0.000, 0.387, 0.750) (multiplicity 2)
O (0.182, 0.413, 0.491) (multiplicity 4)
O (0.206, 0.192, 0.934) (multiplicity 4)

The 12 most intense peaks (10° ≤ 2θ ≤ 90°), in order of rising 2θ:
2θ/deg  d/Å  I (rel.)  index
11.79  7.504  88  0 1 0
14.16  6.256  100  1 0 0
18.47  4.805  54  1 1 0
19.21  4.619  42  0 1 1
20.69  4.293  35  1 1 -1
28.24  3.160  27  0 2 1
28.54  3.128  40  2 0 0
29.29  3.050  73  1 2 -1
30.50  2.931  32  0 0 2
34.01  2.636  85  1 2 1
34.26  2.617  45  2 0 -2
47.75  1.905  32  3 2 -1


13.
The following is a simulated XRD peak list of Nd2Si4Rh5. It was derived from a crystal structure in Alexandria, relaxed with GGA-PBE, using Cu Ka.
Neutral-atom scattering factors, no anomalous dispersion.

Cell and atoms:
Cell lengths 5.674, 9.772, 13.845 Å; angles 90.00, 90.00, 90.00 degrees
Space group Fmmm (No. 69)
Inequivalent atoms, fractional coordinates:
Nd (0.000, 0.000, 0.132) (multiplicity 8)
Si (0.000, 0.153, 0.368) (multiplicity 16)
Rh (0.000, 0.000, 0.500) (multiplicity 4)
Rh (0.250, 0.250, 0.000) (multiplicity 8)
Rh (0.250, 0.250, 0.250) (multiplicity 8)

The 12 most intense peaks (10° ≤ 2θ ≤ 90°), in order of rising 2θ:
2θ/deg  d/Å  I (rel.)  index
26.51  3.362  61  1 1 3
31.68  2.824  77  0 2 4
36.63  2.454  100  2 2 0
36.79  2.443  44  0 4 0
37.31  2.410  72  1 3 3
41.14  2.194  61  2 0 4
45.89  1.977  18  1 3 5
52.90  1.731  23  0 0 8
56.36  1.632  25  2 4 4
60.00  1.542  18  3 3 3
66.10  1.414  57  2 6 0
89.57  1.094  23  2 6 8